Calculated powder diffraction line list of ErNb3Fe8 for Cu Kα, 1.54184 Å, from a structure optimized by DFT (PBE).
Peak positions follow from Bragg's law for the DFT cell and can differ from measured ones.

Main lines, by angle (10° ≤ 2θ ≤ 90°):
- hkl 1 1 0, 36.69 deg, I = 53
- hkl 1 0 3, 39.91 deg, I = 88
- hkl 1 1 2, 43.31 deg, I = 100
- hkl 2 0 1, 44.17 deg, I = 64
- hkl 2 1 3, 68.24 deg, I = 34
- hkl 0 3 2, 70.64 deg, I = 25
- hkl 0 2 5, 74.21 deg, I = 27
- hkl 2 2 0, 78.03 deg, I = 22

Structural model:
Lattice parameters (Å, degrees): 4.8982 4.8982 8.0062 90.00 90.00 120.00
Space group P3m1 (No. 156)
Symmetry-distinct sites (fractional):
Er  0.0000  0.0000  0.0000
Nb  0.0000  0.0000  0.3837
Nb  0.6667  0.3333  0.4960
Nb  0.6667  0.3333  0.8638
Fe  0.1659  0.3317  0.6818
Fe  0.3333  0.6667  0.4380
Fe  0.3333  0.6667  0.9352
Fe  0.5018  0.0035  0.1925

Calculated powder diffraction line list of NdErFe17 for Cu Kα, 1.54184 Å, from a structure optimized by DFT (PBE).
Peak positions follow from Bragg's law for the DFT cell and can differ from measured ones.

Main lines, by angle (10° ≤ 2θ ≤ 90°):
- hkl 1 1 3, 30.13 deg, I = 40
- hkl 3 0 0, 36.64 deg, I = 42
- hkl 0 2 4, 37.90 deg, I = 25
- hkl 2 2 0, 42.57 deg, I = 61
- hkl 3 0 3, 42.85 deg, I = 100
- hkl 0 0 6, 43.68 deg, I = 48
- hkl 2 1 7, 61.99 deg, I = 23
- hkl 2 2 6, 62.63 deg, I = 26

Structural model:
Lattice parameters (Å, degrees): 8.4956 8.4956 12.4329 90.00 90.00 120.00
Space group R3m (No. 160, hexagonal axes)
Symmetry-distinct sites (fractional):
Nd  0.0000  0.0000  0.0000
Er  0.0000  0.0000  0.3197
Fe  0.0000  0.0000  0.5616
Fe  0.0000  0.0000  0.7544
Fe  0.9996  0.4998  0.5022
Fe  0.0011  0.5005  0.1583
Fe  0.0404  0.3724  0.3253
Fe  0.1676  0.3352  0.1491

Calculated powder diffraction line list of ErScFeNi for Cu Kα, 1.54184 Å, from a structure optimized by DFT (PBE).
Peak positions follow from Bragg's law for the DFT cell and can differ from measured ones.

Main lines, by angle (10° ≤ 2θ ≤ 90°):
- hkl 1 1 1, 23.89 deg, I = 31
- hkl 2 0 0, 27.65 deg, I = 8
- hkl 2 2 0, 39.50 deg, I = 100
- hkl 3 1 1, 46.69 deg, I = 17
- hkl 4 0 0, 57.10 deg, I = 16
- hkl 3 3 1, 62.77 deg, I = 7
- hkl 4 2 2, 71.65 deg, I = 32
- hkl 4 4 0, 85.04 deg, I = 10

Structural model:
Lattice parameters (Å, degrees): 6.453 6.453 6.453 90.00 90.00 90.00
Space group F-43m (No. 216)
Symmetry-distinct sites (fractional):
Er  0.000  0.000  0.000
Sc  0.000  0.000  0.500
Fe  0.250  0.250  0.750
Ni  0.250  0.250  0.250